No. 1
HfCrCuS4: theoretical powder diffractogram (Cu Kα), based on DFT lattice parameters and positions (PBE).

Main lines, sorted by position (5 to 70 degrees two-theta):
2θ/deg, I_rel
14.9, 100
20.4, 61
21.4, 49
29.0, 79
29.1, 51
33.1, 74
41.6, 39
41.7, 61
42.7, 67
52.1, 47

Crystal structure
abc: 5.968 3.576 6.050
angles: 90.00 92.58 90.00
Fractional positions:
Hf  0.000  0.000  0.000
Cr  0.000  0.500  0.500
Cu  0.500  0.500  0.500
S  0.236  0.000  0.661
S  0.242  0.500  0.187
S  0.758  0.500  0.813
S  0.764  0.000  0.339

=====

No. 2
HfCrCuS4: theoretical powder diffractogram (Cu Kα), based on DFT lattice parameters and positions (PBE).

Main lines, sorted by position (5 to 70 degrees two-theta):
2θ/deg, I_rel
14.5, 100
17.3, 51
25.5, 88
26.7, 42
30.9, 46
31.4, 62
32.0, 41
38.7, 56
38.8, 66
54.2, 29

Crystal structure
abc: 7.607 6.993 10.262
angles: 90.00 90.00 90.00
Fractional positions:
Hf  0.088  0.250  0.009
Hf  0.412  0.750  0.509
Hf  0.588  0.250  0.491
Hf  0.912  0.750  0.991
Cr  0.011  0.250  0.709
Cr  0.489  0.750  0.209
Cr  0.511  0.250  0.791
Cr  0.989  0.750  0.291
Cu  0.182  0.250  0.396
Cu  0.318  0.750  0.896
Cu  0.682  0.250  0.104
Cu  0.818  0.750  0.604
S  0.090  0.750  0.514
S  0.099  0.525  0.843
S  0.099  0.975  0.843
S  0.209  0.750  0.133
S  0.291  0.250  0.633
S  0.401  0.025  0.343
S  0.401  0.475  0.343
S  0.410  0.250  0.014
S  0.590  0.750  0.986
S  0.599  0.525  0.657
S  0.599  0.975  0.657
S  0.709  0.750  0.367
S  0.791  0.250  0.867
S  0.901  0.025  0.157
S  0.901  0.475  0.157
S  0.910  0.250  0.486

=====

No. 3
HfCrCuS4: theoretical powder diffractogram (Cu Kα), based on DFT lattice parameters and positions (PBE).

Main lines, sorted by position (5 to 70 degrees two-theta):
2θ/deg, I_rel
16.1, 80
16.3, 77
26.7, 59
29.4, 85
32.9, 55
35.1, 62
37.1, 100
37.4, 67
45.0, 52
51.1, 55

Crystal structure
abc: 11.528 3.576 12.439
angles: 90.00 91.01 90.00
Fractional positions:
Hf  0.000  0.000  0.000
Hf  0.034  0.000  0.617
Hf  0.308  0.500  0.367
Hf  0.500  0.000  0.890
Cr  0.263  0.500  0.760
Cr  0.543  0.000  0.262
Cr  0.765  0.500  0.130
Cr  0.791  0.500  0.497
Cu  0.032  0.500  0.239
Cu  0.259  0.000  0.159
Cu  0.554  0.500  0.629
Cu  0.747  0.000  0.750
S  0.125  0.000  0.813
S  0.137  0.500  0.074
S  0.158  0.000  0.319
S  0.185  0.500  0.571
S  0.358  0.500  0.936
S  0.392  0.000  0.709
S  0.410  0.500  0.196
S  0.441  0.000  0.434
S  0.628  0.000  0.081
S  0.628  0.500  0.811
S  0.673  0.000  0.573
S  0.677  0.500  0.309
S  0.859  0.500  0.949
S  0.893  0.500  0.673
S  0.897  0.000  0.179
S  0.917  0.000  0.446